No. 1
For Mg6FeCO8, a DFT-relaxed cell (PBE+U, the Materials Project) gives the computed powder X-ray diffraction pattern in this record (Cu Kα X-rays).
Lines closer than 0.1° are merged.

Most intense lines, 10 to 90 degrees two-theta, low angle first:
d_spacing	2theta	Rel. int.
8.501	10.4	4
4.251	20.9	9
3.802	23.4	12
3.006	29.7	7
2.454	36.6	14
2.125	42.5	100
1.901	47.9	4
1.503	61.7	55
1.282	74.0	8
1.227	77.8	17

Atomic structure:
```
Mg6FeCO8
1.0
4.2505 0.0000 0.0000
0.0000 4.2505 0.0000
0.0000 0.0000 8.5009
Mg Fe C O
6 1 1 8
Direct
0.0000 0.0000 0.0000
0.0000 0.5000 0.2537
0.0000 0.5000 0.7463
0.5000 0.0000 0.2537
0.5000 0.0000 0.7463
0.5000 0.5000 0.0000
0.0000 0.0000 0.5000
0.5000 0.5000 0.5000
0.0000 0.0000 0.2489
0.0000 0.0000 0.7511
0.0000 0.5000 0.0000
0.0000 0.5000 0.5000
0.5000 0.0000 0.0000
0.5000 0.0000 0.5000
0.5000 0.5000 0.2492
0.5000 0.5000 0.7508
```

---

No. 2
For SrFeNi2P3O12, a DFT-relaxed cell (PBE+U, the Materials Project) gives the computed powder X-ray diffraction pattern in this record (Cu Kα X-rays).
Lines closer than 0.1° are merged.

Most intense lines, 10 to 90 degrees two-theta, low angle first:
d_spacing	2theta	Rel. int.
4.272	20.8	48
4.119	21.6	24
3.921	22.7	28
3.056	29.2	22
2.808	31.9	100
2.788	32.1	65
2.624	34.2	38
2.164	41.7	18
1.797	50.8	17
1.746	52.4	29

Atomic structure:
```
SrFeNi2P3O12
1.0
-5.2478 6.6486 3.2903
5.2478 -6.6486 3.2903
5.2478 6.6486 -3.2903
Sr Fe Ni P O
2 2 4 6 24
Direct
0.3433 0.0933 0.2500
0.6567 0.9067 0.7500
0.0000 0.5000 0.5000
0.5000 0.5000 0.0000
0.1164 0.0000 0.6165
0.1164 0.5000 0.1164
0.8836 0.0000 0.3836
0.8836 0.5000 0.8836
0.1621 0.4121 0.7500
0.3218 0.0000 0.8218
0.3218 0.5000 0.3218
0.6782 0.0000 0.1782
0.6782 0.5000 0.6782
0.8379 0.5879 0.2500
0.0167 0.1488 0.6321
0.0167 0.3846 0.8679
0.2013 0.5689 0.3560
0.2013 0.8453 0.6324
0.2025 0.2777 0.3473
0.2025 0.8552 0.9248
0.2049 0.5489 0.6560
0.2870 0.1547 0.8560
0.2870 0.4311 0.1324
0.3929 0.5489 0.8440
0.4304 0.2777 0.5752
0.4304 0.8552 0.1527
0.5696 0.1448 0.8473
0.5696 0.7223 0.4248
0.6071 0.4511 0.1560
0.7130 0.5689 0.8676
0.7130 0.8453 0.1440
0.7951 0.4511 0.3440
0.7975 0.1448 0.0752
0.7975 0.7223 0.6527
0.7987 0.1547 0.3676
0.7987 0.4311 0.6440
0.9833 0.6154 0.1321
0.9833 0.8512 0.3679
```

---

No. 3
For Sr4LiMn2Ga2O10, a DFT-relaxed cell (PBE+U, the Materials Project) gives the computed powder X-ray diffraction pattern in this record (Cu Kα X-rays).
Lines closer than 0.1° are merged.

Most intense lines, 10 to 90 degrees two-theta, low angle first:
d_spacing	2theta	Rel. int.
5.468	16.2	23
3.964	22.4	18
2.942	30.4	80
2.904	30.8	100
2.841	31.5	40
2.830	31.6	35
2.133	42.4	27
2.031	44.6	19
1.982	45.8	23
1.706	53.7	17

Atomic structure:
```
Sr4LiMn2Ga2O10
1.0
5.8202 0.0000 0.0000
-0.4303 5.8104 0.0000
-2.6545 -2.8958 8.1221
Sr Li Mn Ga O
4 1 2 2 10
Direct
0.0000 0.0000 0.0000
0.2091 0.2106 0.4219
0.4252 0.5535 0.9990
0.6427 0.7741 0.4216
0.6690 0.2324 0.9009
0.0587 0.6279 0.2126
0.5761 0.1396 0.2049
0.2268 0.8004 0.6854
0.8861 0.4483 0.6903
0.2250 0.4716 0.6949
0.2294 0.8026 0.4825
0.3159 0.8811 0.1917
0.3331 0.3718 0.2078
0.4191 0.0105 0.8873
0.6771 0.2373 0.4940
0.7885 0.3513 0.1564
0.8031 0.8940 0.2015
0.8952 0.7848 0.6950
0.9068 0.4563 0.8998
```

---

No. 4
For Li4Mn3Co3Sn2O16, a DFT-relaxed cell (PBE+U, the Materials Project) gives the computed powder X-ray diffraction pattern in this record (Cu Kα X-rays).
Lines closer than 0.1° are merged.

Most intense lines, 10 to 90 degrees two-theta, low angle first:
d_spacing	2theta	Rel. int.
4.844	18.3	21
4.546	19.5	25
4.520	19.6	30
4.489	19.8	100
3.493	25.5	24
2.733	32.8	23
2.716	33.0	32
2.534	35.4	22
2.504	35.9	43
1.535	60.3	26

Atomic structure:
```
Li4Mn3Co3Sn2O16
1.0
5.8725 0.0000 0.0000
0.1039 9.6891 0.0000
0.1175 0.0808 10.1775
Li Mn Co Sn O
8 6 6 4 32
Direct
0.0000 0.0000 0.0000
0.0000 0.0988 0.6624
0.4914 0.5953 0.8252
0.4974 0.4989 0.4969
0.4987 0.0005 0.4993
0.4994 0.1008 0.1637
0.9926 0.5939 0.3249
0.9971 0.4981 0.9992
0.2528 0.2773 0.9133
0.2531 0.7763 0.0810
0.4978 0.7789 0.3275
0.7545 0.7778 0.5802
0.7560 0.2791 0.4081
0.9959 0.7783 0.8275
0.0030 0.2781 0.1672
0.2453 0.2786 0.4083
0.2447 0.7788 0.5810
0.4991 0.2785 0.6637
0.7439 0.7777 0.0817
0.7462 0.2790 0.9132
0.0027 0.5010 0.6588
0.0074 0.0038 0.3311
0.4987 0.4998 0.1605
0.5010 0.0008 0.8334
0.0013 0.6856 0.9968
0.0016 0.1645 0.4782
0.0041 0.6655 0.5091
0.0063 0.3928 0.8354
0.0078 0.1859 0.0014
0.2226 0.6566 0.7319
0.2251 0.1628 0.2548
0.2375 0.3889 0.0737
0.2499 0.8948 0.9276
0.2549 0.6474 0.2241
0.2618 0.3881 0.5714
0.2651 0.1542 0.7630
0.2658 0.8949 0.4200
0.4848 0.3855 0.8328
0.4888 0.1580 0.9814
0.4940 0.8803 0.1622
0.4985 0.8880 0.6570
0.5000 0.3916 0.3370
0.5019 0.1859 0.4876
0.5033 0.6633 0.0105
0.5027 0.6866 0.4967
0.7206 0.1551 0.7542
0.7214 0.6554 0.2336
0.7469 0.3912 0.5675
0.7528 0.8998 0.4269
0.7557 0.6477 0.7228
0.7626 0.3887 0.0762
0.7639 0.8945 0.9214
0.7783 0.1610 0.2536
0.9945 0.8808 0.6623
0.9994 0.3808 0.3279
0.9990 0.8873 0.1572
```

---

No. 5
For Li3Mn2P2C2O14, a DFT-relaxed cell (PBE+U, the Materials Project) gives the computed powder X-ray diffraction pattern in this record (Cu Kα X-rays).
Lines closer than 0.1° are merged.

Most intense lines, 10 to 90 degrees two-theta, low angle first:
d_spacing	2theta	Rel. int.
8.282	10.7	100
5.044	17.6	47
4.442	20.0	50
4.159	21.4	66
3.941	22.6	21
3.481	25.6	35
3.318	26.9	38
3.180	28.1	100
2.454	36.6	22
2.202	41.0	22

Atomic structure:
```
Li3Mn2P2C2O14
1.0
5.0354 0.0000 0.0000
0.0098 6.3597 0.0000
0.6160 0.0378 8.2825
Li Mn P C O
3 2 2 2 14
Direct
0.0000 0.0000 0.0000
0.0095 0.2908 0.3715
0.5141 0.7732 0.8278
0.5720 0.9897 0.4260
0.9702 0.4877 0.7707
0.0471 0.9925 0.6769
0.4923 0.4943 0.5192
0.0593 0.4936 0.0509
0.4751 0.9933 0.1393
0.1093 0.4753 0.1932
0.1844 0.4723 0.5621
0.2426 0.5111 0.9275
0.3047 0.0106 0.2674
0.3473 0.9691 0.6451
0.3899 0.9715 0.0012
0.5614 0.6839 0.4122
0.5941 0.3020 0.4211
0.6230 0.5092 0.6826
0.7223 0.9962 0.1692
0.8190 0.4916 0.9968
0.9171 0.0084 0.5161
0.9365 0.8052 0.7868
0.9706 0.1803 0.7922
```